No. 1
Simulated X-ray diffraction stick pattern of V2GeO5 for Cu Kα, 1.54184 Å, from a DFT-relaxed cell (PBE+U, Alexandria).

Crystal structure
a = 7.915 Å, b = 8.000 Å, c = 12.673 Å
α = 90.00°, β = 90.00°, γ = 90.00°
Space group Fddd (No. 70, origin choice 2)
Symmetry-distinct sites (fractional):
V (0.000, 0.000, 0.000)
Ge (0.125, 0.125, 0.625)
O (0.009, 0.008, 0.303)
O (0.125, 0.125, 0.125)

Most intense lines, 10 to 90 degrees two-theta, sorted by position:
| 2theta | I/Imax | h k l |
| --- | --- | --- |
| 26.38 | 100 | 1 1 3 |
| 26.56 | 20 | 2 0 2 |
| 31.81 | 14 | 2 2 0 |
| 36.25 | 14 | 1 3 1 |
| 36.56 | 13 | 3 1 1 |
| 43.00 | 11 | 2 2 4 |
| 53.45 | 9 | 3 3 3 |
| 54.27 | 23 | 0 4 4 |
| 54.69 | 13 | 4 0 4 |
| 66.47 | 10 | 4 4 0 |

***

No. 2
Simulated X-ray diffraction stick pattern of VGeO3 for Cu Kα, 1.54184 Å, from a DFT-relaxed cell (PBE+U, Alexandria).

Crystal structure
a = 10.725 Å, b = 9.225 Å, c = 5.660 Å
α = 90.00°, β = 112.23°, γ = 90.00°
Space group C2/c (No. 15)
Symmetry-distinct sites (fractional):
V (0.000, 0.094, 0.250)
V (0.000, 0.269, 0.750)
Ge (0.211, 0.409, 0.201)
O (0.111, 0.091, 0.666)
O (0.121, 0.248, 0.153)
O (0.148, 0.458, 0.863)

Most intense lines, 10 to 90 degrees two-theta, sorted by position:
| 2theta | I/Imax | h k l |
| --- | --- | --- |
| 25.73 | 19 | 0 2 1 |
| 26.38 | 22 | 2 2 0 |
| 27.48 | 100 | 2 2 -1 |
| 28.66 | 38 | 3 1 0 |
| 34.23 | 41 | 0 0 2 |
| 35.11 | 17 | 2 2 1 |
| 39.45 | 14 | 4 0 -2 |
| 51.98 | 23 | 5 3 -1 |
| 52.42 | 20 | 2 2 -3 |
| 63.72 | 23 | 5 3 1 |